For Cs2ZnNiF6, a structure optimized by DFT (GGA+U) gives the simulated powder XRD pattern in this record (CuKα).
No peak broadening, texture or thermal motion is included.

Crystal structure
Cell lengths 5.9294, 5.9294, 9.8244 Å; angles 90.00, 90.00, 90.00 degrees
Space group I4/mmm (No. 139)
Symmetry-distinct sites (fractional):
1 Cs 0.0000 0.5000 0.2500 [4 per cell]
2 Zn 0.0000 0.0000 0.0000 [2 per cell]
3 Ni 0.0000 0.0000 0.5000 [2 per cell]
4 F 0.0000 0.0000 0.1946 [4 per cell]
5 F 0.2310 0.2310 0.5000 [8 per cell]

Largest 6 diffraction maxima, by intensity, 10 to 90 degrees two-theta:
d [Å], I (rel.)
3.189, 100
2.965, 39
1.752, 34
2.096, 29
2.456, 21
2.538, 21